This entry pairs a crystal structure of HfSiOs with its computed powder XRD pattern. Radiation: Cu Ka. Structure: a PBE-relaxed structure.
Lines closer than 0.1° are merged.

Most intense lines, 2θ = 5–70°, by angle:
(1 0 1), 28.5°, rel. 26
(1 1 1), 36.2°, rel. 100
(2 0 1), 39.6°, rel. 54
(2 1 0), 41.6°, rel. 62
(3 1 1), 63.5°, rel. 25
(2 1 2), 66.0°, rel. 32

Crystal structure
```
data_HfSiOs
_symmetry_space_group_name_H-M 'P -6 2 m'
_symmetry_Int_Tables_number 189
_symmetry_space_group_name_Hall 'P -6 -2'
_cell_length_a 6.6368
_cell_length_b 6.6368
_cell_length_c 3.7318
_cell_angle_alpha 90.00
_cell_angle_beta 90.00
_cell_angle_gamma 120.00
loop_
_atom_site_label
_atom_site_fract_x
_atom_site_fract_y
_atom_site_fract_z
Hf1 0.0000 0.5857 0.0000
Si1 0.0000 0.0000 0.0000
Si2 0.3333 0.6667 0.5000
Os1 0.0000 0.2470 0.5000
```


This entry pairs a crystal structure of Nb2Co2Si3 with its computed powder XRD pattern. Radiation: Cu Ka. Structure: a PBE-relaxed structure.
Lines closer than 0.1° are merged.

Most intense lines, 2θ = 5–70°, by angle:
(3 2 1), 31.8°, rel. 30
(4 1 1), 35.1°, rel. 37
(5 0 1), 41.1°, rel. 100
(4 4 0), 41.9°, rel. 54
(3 1 2), 42.8°, rel. 82
(7 3 2), 69.5°, rel. 34

Crystal structure
```
data_Nb2Co2Si3
_symmetry_space_group_name_H-M 'I 4/m m m'
_symmetry_Int_Tables_number 139
_symmetry_space_group_name_Hall '-I 4 2'
_cell_length_a 12.202
_cell_length_b 12.202
_cell_length_c 5.053
_cell_angle_alpha 90.00
_cell_angle_beta 90.00
_cell_angle_gamma 90.00
loop_
_atom_site_label
_atom_site_fract_x
_atom_site_fract_y
_atom_site_fract_z
Nb1 0.000 0.195 0.000
Nb2 0.135 0.135 0.500
Co1 0.138 0.362 0.250
Si1 0.000 0.000 0.244
Si2 0.000 0.292 0.500
Si3 0.000 0.500 0.000
Si4 0.214 0.214 0.000
```


This entry pairs a crystal structure of BeBr2 with its computed powder XRD pattern. Radiation: Cu Ka. Structure: a PBE-relaxed structure.
Lines closer than 0.1° are merged.

Most intense lines, 2θ = 5–70°, by angle:
(1 1 0), 16.1°, rel. 22
(1 2 1), 26.3°, rel. 100
(0 4 0), 30.7°, rel. 14
(0 0 2), 32.0°, rel. 17
(2 3 1), 40.4°, rel. 14
(1 2 3), 53.7°, rel. 13

Crystal structure
```
data_BeBr2
_symmetry_space_group_name_H-M 'I b a m'
_symmetry_Int_Tables_number 72
_symmetry_space_group_name_Hall '-I 2 2c'
_cell_length_a 6.250
_cell_length_b 11.654
_cell_length_c 5.587
_cell_angle_alpha 90.00
_cell_angle_beta 90.00
_cell_angle_gamma 90.00
loop_
_atom_site_label
_atom_site_fract_x
_atom_site_fract_y
_atom_site_fract_z
Be1 0.000 0.000 0.250
Br1 0.192 0.103 0.000
```


This entry pairs a crystal structure of Ag3Sn with its computed powder XRD pattern. Radiation: Cu Ka. Structure: a PBE-relaxed structure.
Lines closer than 0.1° are merged.

Most intense lines, 2θ = 5–70°, by angle:
(0 2 1), 34.4°, rel. 23
(2 0 0), 36.5°, rel. 41
(1 0 2), 38.6°, rel. 51
(1 2 1), 39.1°, rel. 100
(0 2 3), 60.9°, rel. 17
(3 2 1), 67.4°, rel. 19

Crystal structure
```
data_Ag3Sn
_symmetry_space_group_name_H-M 'P m m n'
_symmetry_Int_Tables_number 59
_cell_length_a 4.929
_cell_length_b 5.978
_cell_length_c 5.300
_cell_angle_alpha 90.00
_cell_angle_beta 90.00
_cell_angle_gamma 90.00
loop_
_symmetry_equiv_pos_as_xyz
'x,y,z'
'-x,-y,-z'
'-x+1/2,-y+1/2,z'
'x+1/2,y+1/2,-z'
'x+1/2,-y,-z'
'-x+1/2,y,z'
'-x,y+1/2,-z'
'x,-y+1/2,z'
loop_
_atom_site_label
_atom_site_fract_x
_atom_site_fract_y
_atom_site_fract_z
Ag1 0.250 0.000 0.163
Ag2 0.250 0.250 0.674
Sn1 0.250 0.750 0.668
```


This entry pairs a crystal structure of CoSn3 with its computed powder XRD pattern. Radiation: Cu Ka. Structure: a PBE-relaxed structure.
Lines closer than 0.1° are merged.

Most intense lines, 2θ = 5–70°, by angle:
(6 0 0), 31.5°, rel. 46
(2 2 1), 33.4°, rel. 51
(3 1 2), 35.5°, rel. 100
(4 2 1), 38.2°, rel. 39
(6 2 0), 42.8°, rel. 69
(1 3 1), 45.7°, rel. 40

Crystal structure
```
data_CoSn3
_symmetry_space_group_name_H-M 'C m c e'
_symmetry_Int_Tables_number 64
_symmetry_space_group_name_Hall '-C 2ac 2'
_cell_length_a 17.062
_cell_length_b 6.307
_cell_length_c 6.323
_cell_angle_alpha 90.00
_cell_angle_beta 90.00
_cell_angle_gamma 90.00
loop_
_atom_site_label
_atom_site_fract_x
_atom_site_fract_y
_atom_site_fract_z
Co1 0.080 0.000 0.000
Sn1 0.000 0.164 0.336
Sn2 0.165 0.183 0.682
```


This entry pairs a crystal structure of Nd2Ni17 with its computed powder XRD pattern. Radiation: Cu Ka. Structure: a PBE-relaxed structure.
Lines closer than 0.1° are merged.

Most intense lines, 2θ = 5–70°, by angle:
(1 1 2), 30.9°, rel. 33
(3 0 0), 37.4°, rel. 39
(2 0 3), 41.9°, rel. 39
(2 2 0), 43.5°, rel. 65
(3 0 2), 43.9°, rel. 100
(0 0 4), 44.9°, rel. 33

Crystal structure
```
data_Nd2Ni17
_symmetry_space_group_name_H-M 'P 63/m m c'
_symmetry_Int_Tables_number 194
_symmetry_space_group_name_Hall '-P 6c 2c'
_cell_length_a 8.3233
_cell_length_b 8.3233
_cell_length_c 8.0667
_cell_angle_alpha 90.00
_cell_angle_beta 90.00
_cell_angle_gamma 120.00
loop_
_atom_site_label
_atom_site_fract_x
_atom_site_fract_y
_atom_site_fract_z
Nd1 0.0000 0.0000 0.2500
Nd2 0.3333 0.6667 0.2500
Ni1 0.0000 0.5000 0.0000
Ni2 0.0456 0.3745 0.7500
Ni3 0.1661 0.3322 0.0188
Ni4 0.3333 0.6667 0.6043
```